Calculated powder XRD pattern
Compound: Tm4TePt
Radiation: Cu Kα, 1.54184 Å
Structure: a cell relaxed with GGA-PBE
Neutral-atom scattering factors, no anomalous dispersion.

```
data_Tm4TePt
_cell_length_a 8.1780
_cell_length_b 3.9066
_cell_length_c 19.3321
_cell_angle_alpha 90.00
_cell_angle_beta 90.00
_cell_angle_gamma 90.00
_space_group_name_H-M_alt 'P 1'
_space_group_IT_number 1
_space_group_name_Hall 'P 1'
loop_
_atom_site_label
_atom_site_fract_x
_atom_site_fract_y
_atom_site_fract_z
_atom_site_occupancy
Tm1 0.0126 0.2500 0.0687 1
Tm2 0.0404 0.7500 0.2155 1
Tm3 0.1405 0.7500 0.6521 1
Tm4 0.1409 0.7500 0.4489 1
Tm5 0.3591 0.2500 0.9489 1
Tm6 0.3595 0.2500 0.1521 1
Tm7 0.4596 0.2500 0.7155 1
Tm8 0.4874 0.7500 0.5687 1
Tm9 0.5126 0.2500 0.4313 1
Tm10 0.5404 0.7500 0.2845 1
Tm11 0.6405 0.7500 0.8479 1
Tm12 0.6409 0.7500 0.0511 1
Tm13 0.8591 0.2500 0.5511 1
Tm14 0.8595 0.2500 0.3479 1
Tm15 0.9596 0.2500 0.7845 1
Tm16 0.9874 0.7500 0.9313 1
Te1 0.2400 0.2500 0.3135 1
Te2 0.2600 0.7500 0.8135 1
Te3 0.7400 0.2500 0.1865 1
Te4 0.7600 0.7500 0.6865 1
Pt1 0.2305 0.2500 0.5504 1
Pt2 0.2695 0.7500 0.0504 1
Pt3 0.7305 0.2500 0.9496 1
Pt4 0.7695 0.7500 0.4496 1
```

Peak list (8 most intense, 2θ = 5–70°, sorted by position)
2θ/deg	I_rel	h k l
31.41	1000	1 1 4
32.58	508	0 1 5
33.19	409	3 0 1
34.67	777	2 1 3
37.89	304	3 0 4
39.51	312	2 1 5
40.63	254	3 1 1
46.49	348	0 2 0